This entry pairs a crystal structure of HoMg2Cd8 with its theoretical PXRD pattern. Radiation: Cu Kα (weighted mean of Kα1 and Kα2). Structure: a crystal structure in Alexandria, relaxed with PBE.
Intensities are scaled so that the largest is 100.

Cell and atoms:
Cell: 8.3710 8.3710 6.9203 Å, 103.72 103.72 32.05°
Fractional positions:
Ho (0.0000, 0.0000, 0.0000)
Mg (0.2602, 0.2602, 0.3515)
Mg (0.7398, 0.7398, 0.6485)
Cd (0.0920, 0.0920, 0.4779)
Cd (0.1899, 0.1899, 0.9061)
Cd (0.3663, 0.3663, 0.7873)
Cd (0.4434, 0.4434, 0.2580)
Cd (0.5566, 0.5566, 0.7420)
Cd (0.6337, 0.6337, 0.2127)
Cd (0.8101, 0.8101, 0.0939)
Cd (0.9080, 0.9080, 0.5221)

Principal peaks in the range 10 to 80 degrees two-theta, by angle:
2θ (°), Rel. int.
11.35, 18
32.33, 12
34.54, 95
34.66, 100
38.97, 36
40.19, 30
41.30, 27
57.23, 22
58.08, 19
67.75, 13
67.83, 14
69.34, 10